Entry 1:
This entry pairs a crystal structure of Li4GeS4 with its computed PXRD pattern. Radiation: copper Kα. Structure: a PBE-relaxed structure.
Kinematic intensities with the Lorentz-polarization factor, no thermal factor.

Crystal structure
a = 6.191 Å, b = 7.813 Å, c = 14.168 Å
α = 90.00°, β = 90.00°, γ = 90.00°
Positions (direct):
Li: 0.023 0.235 0.252
Li: 0.129 0.001 0.662
Li: 0.190 0.750 0.426
Li: 0.191 0.250 0.428
Li: 0.309 0.750 0.928
Li: 0.310 0.250 0.926
Li: 0.371 0.999 0.162
Li: 0.477 0.765 0.752
Li: 0.523 0.265 0.748
Li: 0.629 0.499 0.338
Li: 0.690 0.750 0.574
Li: 0.691 0.250 0.572
Li: 0.809 0.750 0.072
Li: 0.810 0.250 0.074
Li: 0.871 0.501 0.838
Li: 0.977 0.735 0.248
Ge: 0.149 0.499 0.661
Ge: 0.351 0.501 0.161
Ge: 0.649 0.001 0.339
Ge: 0.851 0.999 0.839
S: 0.211 0.999 0.836
S: 0.217 0.736 0.094
S: 0.220 0.264 0.094
S: 0.230 0.499 0.312
S: 0.270 0.501 0.812
S: 0.280 0.736 0.594
S: 0.283 0.264 0.594
S: 0.289 0.001 0.336
S: 0.711 0.501 0.164
S: 0.717 0.764 0.906
S: 0.720 0.236 0.906
S: 0.730 0.001 0.688
S: 0.770 0.999 0.188
S: 0.780 0.764 0.406
S: 0.783 0.236 0.406
S: 0.789 0.499 0.664

Peak list (10 most intense, 2θ = 5–70°, in order of falling intensity)
2θ = 16.89°, I 100, (0 1 2); 2θ = 26.05°, I 67, (0 2 2); 2θ = 44.85°, I 65, (0 2 6); 2θ = 18.28°, I 60, (1 1 0); 2θ = 28.84°, I 55, (2 0 0); 2θ = 19.04°, I 47, (1 0 2); 2θ = 27.71°, I 47, (1 2 1); 2θ = 25.14°, I 45, (0 0 4); 2θ = 12.50°, I 43, (0 0 2); 2θ = 26.33°, I 34, (1 1 3)

Entry 2:
This entry pairs a crystal structure of CeSe2 with its computed PXRD pattern. Radiation: copper Kα. Structure: a PBE-relaxed structure.
Kinematic intensities with the Lorentz-polarization factor, no thermal factor.

Crystal structure
a = 7.426 Å, b = 13.564 Å, c = 7.972 Å
α = 90.00°, β = 90.00°, γ = 90.00°
Positions (direct):
Ce: 0.132 0.129 0.109
Ce: 0.132 0.371 0.609
Ce: 0.368 0.629 0.109
Ce: 0.368 0.871 0.609
Ce: 0.632 0.129 0.391
Ce: 0.632 0.371 0.891
Ce: 0.868 0.629 0.391
Ce: 0.868 0.871 0.891
Se: 0.030 0.729 0.115
Se: 0.030 0.771 0.615
Se: 0.182 0.510 0.347
Se: 0.182 0.990 0.847
Se: 0.318 0.010 0.347
Se: 0.318 0.490 0.847
Se: 0.470 0.229 0.115
Se: 0.470 0.271 0.615
Se: 0.530 0.729 0.385
Se: 0.530 0.771 0.885
Se: 0.682 0.510 0.153
Se: 0.682 0.990 0.653
Se: 0.818 0.010 0.153
Se: 0.818 0.490 0.653
Se: 0.970 0.229 0.385
Se: 0.970 0.271 0.885

Peak list (10 most intense, 2θ = 5–70°, in order of falling intensity)
2θ = 17.17°, I 100, (0 2 1); 2θ = 32.28°, I 66, (1 3 2); 2θ = 20.95°, I 61, (1 2 1); 2θ = 17.58°, I 59, (1 1 1); 2θ = 36.84°, I 56, (1 4 2); 2θ = 27.38°, I 41, (2 2 0); 2θ = 28.62°, I 38, (1 2 2); 2θ = 33.18°, I 37, (2 3 1); 2θ = 43.55°, I 33, (3 1 2); 2θ = 38.66°, I 26, (3 1 1)

Entry 3:
This entry pairs a crystal structure of CeAs2 with its computed PXRD pattern. Radiation: copper Kα. Structure: a PBE-relaxed structure.
Kinematic intensities with the Lorentz-polarization factor, no thermal factor.

Crystal structure
a = 7.084 Å, b = 3.994 Å, c = 9.841 Å
α = 90.00°, β = 90.00°, γ = 90.00°
Positions (direct):
Ce: 0.196 0.250 0.145
Ce: 0.304 0.750 0.645
Ce: 0.696 0.250 0.355
Ce: 0.804 0.750 0.855
As: 0.106 0.250 0.452
As: 0.115 0.250 0.829
As: 0.385 0.750 0.329
As: 0.394 0.750 0.952
As: 0.606 0.250 0.048
As: 0.615 0.250 0.671
As: 0.885 0.750 0.171
As: 0.894 0.750 0.548

Peak list (10 most intense, 2θ = 5–70°, in order of falling intensity)
2θ = 37.69°, I 100, (1 1 3); 2θ = 33.82°, I 95, (2 1 0); 2θ = 30.02°, I 44, (1 0 3); 2θ = 45.41°, I 31, (0 2 0); 2θ = 35.07°, I 24, (2 1 1); 2θ = 42.46°, I 24, (3 0 2); 2θ = 35.41°, I 21, (0 1 3); 2θ = 27.18°, I 20, (1 1 1); 2θ = 47.44°, I 19, (3 0 3); 2θ = 24.04°, I 17, (0 1 1)